(1)
This entry pairs a crystal structure of U2Be4CoSi3 with its calculated X-ray powder pattern. Radiation: Cu Kα, 1.54184 Å. Structure: DFT lattice parameters and positions (GGA-PBE).
Neutral-atom scattering factors, no anomalous dispersion.

Structural model:
```
data_U2Be4CoSi3
_space_group_name_H-M_alt 'P -4 m 2'
_space_group_IT_number 115
_cell_length_a 3.840
_cell_length_b 3.840
_cell_length_c 9.236
_cell_angle_alpha 90.00
_cell_angle_beta 90.00
_cell_angle_gamma 90.00
loop_
_space_group_symop_operation_xyz
'x,y,z'
'y,-x,-z'
'-x,-y,z'
'-y,x,-z'
'-x,y,z'
'-y,-x,-z'
'x,-y,z'
'y,x,-z'
loop_
_atom_site_label
_atom_site_fract_x
_atom_site_fract_y
_atom_site_fract_z
U1 0.000 0.500 0.241
Be1 0.000 0.000 0.500
Be2 0.000 0.500 0.876
Be3 0.500 0.500 0.500
Co1 0.500 0.500 0.000
Si1 0.000 0.000 0.000
Si2 0.000 0.500 0.637
```

Top 8 peaks for 2θ = 10–80°, sorted by position:
2theta  I (rel.)  hkl
19.22  36  0 0 2
25.11  100  1 0 1
32.99  28  1 1 0
37.44  54  1 0 3
38.46  67  1 1 2
47.34  23  2 0 0
54.33  26  2 1 1
61.86  26  2 1 3


(2)
This entry pairs a crystal structure of Be2V2Co5Si with its calculated X-ray powder pattern. Radiation: Cu Kα, 1.54184 Å. Structure: DFT lattice parameters and positions (GGA-PBE).
Neutral-atom scattering factors, no anomalous dispersion.

Structural model:
```
data_Be2V2Co5Si
_space_group_name_H-M_alt 'P 4/m b m'
_space_group_IT_number 127
_space_group_name_Hall '-P 4 2ab'
_cell_length_a 8.671
_cell_length_b 8.671
_cell_length_c 2.758
_cell_angle_alpha 90.00
_cell_angle_beta 90.00
_cell_angle_gamma 90.00
loop_
_atom_site_label
_atom_site_fract_x
_atom_site_fract_y
_atom_site_fract_z
Be1 0.125 0.375 0.000
V1 0.175 0.675 0.000
Co1 0.000 0.500 0.500
Co2 0.063 0.205 0.500
Si1 0.000 0.000 0.000
```

Top 8 peaks for 2θ = 10–80°, sorted by position:
2theta  I (rel.)  hkl
32.47  23  0 0 1
40.12  52  2 1 1
43.01  86  4 1 0
44.17  28  2 2 1
44.32  27  3 3 0
46.72  100  3 1 1
46.86  23  4 2 0
50.34  34  3 2 1


(3)
This entry pairs a crystal structure of Ta2Be16Co with its calculated X-ray powder pattern. Radiation: Cu Kα, 1.54184 Å. Structure: DFT lattice parameters and positions (GGA-PBE).
Neutral-atom scattering factors, no anomalous dispersion.

Structural model:
```
data_Ta2Be16Co
_space_group_name_H-M_alt 'R 3 m'
_space_group_IT_number 160
_space_group_name_Hall 'R 3 -2"'
_cell_length_a 7.3965
_cell_length_b 7.3965
_cell_length_c 10.7220
_cell_angle_alpha 90.00
_cell_angle_beta 90.00
_cell_angle_gamma 120.00
loop_
_atom_site_label
_atom_site_fract_x
_atom_site_fract_y
_atom_site_fract_z
Ta1 0.0000 0.0000 0.0000
Ta2 0.0000 0.0000 0.3203
Be1 0.0000 0.0000 0.5587
Be2 0.0002 0.2887 0.6633
Be3 0.0057 0.5029 0.8158
Be4 0.1676 0.3352 0.4941
Be5 0.1678 0.3356 0.8388
Co1 0.0000 0.0000 0.7589
```

Top 8 peaks for 2θ = 10–80°, sorted by position:
2theta  I (rel.)  hkl
16.12  28  1 0 1
24.06  100  1 1 0
24.91  21  0 0 3
34.91  60  1 1 3
36.33  17  1 0 4
42.33  29  3 0 0
49.28  21  2 2 0
49.74  28  0 3 3


(4)
This entry pairs a crystal structure of Ta2Be9Co with its calculated X-ray powder pattern. Radiation: Cu Kα, 1.54184 Å. Structure: DFT lattice parameters and positions (GGA-PBE).
Neutral-atom scattering factors, no anomalous dispersion.

Structural model:
```
data_Ta2Be9Co
_space_group_name_H-M_alt 'R -3 m'
_space_group_IT_number 166
_space_group_name_Hall '-R 3 2"'
_cell_length_a 4.4832
_cell_length_b 4.4832
_cell_length_c 20.8552
_cell_angle_alpha 90.00
_cell_angle_beta 90.00
_cell_angle_gamma 120.00
loop_
_atom_site_label
_atom_site_fract_x
_atom_site_fract_y
_atom_site_fract_z
Ta1 0.0000 0.0000 0.1427
Be1 0.0000 0.0000 0.3349
Be2 0.0000 0.0000 0.5000
Be3 0.0021 0.5011 0.9182
Co1 0.0000 0.0000 0.0000
```

Top 8 peaks for 2θ = 10–80°, sorted by position:
2theta  I (rel.)  hkl
12.73  100  0 0 3
23.30  85  1 0 1
28.67  48  1 0 4
38.07  62  1 0 7
40.23  55  1 1 0
41.73  24  0 1 8
42.37  34  1 1 3
48.31  35  1 1 6